# 1
Starting from a PBE+U-relaxed structure, the powder diffractogram of Cr3TeO8 was simulated for Cu Kα.

Largest 6 diffraction maxima, by angle, 2θ = 10–90°:
2θ (°), I (rel.)
19.7, 100
25.9, 30
34.0, 30
35.8, 39
36.0, 26
45.9, 23

Cell and atoms:
```
Cr3TeO8
1.0
5.980 0.000 0.000
-2.990 5.179 0.000
0.000 0.000 9.180
Cr Te O
6 2 16
Direct
0.171 0.341 0.000
0.171 0.829 0.000
0.341 0.171 0.500
0.659 0.829 0.000
0.829 0.171 0.500
0.829 0.659 0.500
0.333 0.667 0.278
0.667 0.333 0.778
0.000 0.000 0.080
0.000 0.000 0.580
0.044 0.522 0.132
0.172 0.344 0.384
0.172 0.828 0.384
0.333 0.667 0.896
0.344 0.172 0.884
0.478 0.522 0.132
0.478 0.956 0.132
0.522 0.044 0.632
0.522 0.478 0.632
0.656 0.828 0.384
0.667 0.333 0.396
0.828 0.172 0.884
0.828 0.656 0.884
0.956 0.478 0.632
```


# 2
Starting from a PBE+U-relaxed structure, the powder diffractogram of Cr2TeO6 was simulated for Cu Kα.

Largest 6 diffraction maxima, by angle, 2θ = 10–90°:
2θ (°), I (rel.)
21.5, 29
27.2, 100
35.1, 66
53.4, 62
56.2, 16
68.0, 20

Cell and atoms:
```
Cr2TeO6
1.0
4.632 0.000 0.000
0.000 4.632 0.000
0.000 0.000 9.199
Cr Te O
4 2 12
Direct
0.000 0.000 0.165
0.000 0.000 0.835
0.500 0.500 0.335
0.500 0.500 0.665
0.000 0.000 0.500
0.500 0.500 0.000
0.192 0.192 0.337
0.192 0.192 0.663
0.200 0.200 0.000
0.300 0.700 0.500
0.308 0.692 0.163
0.308 0.692 0.837
0.692 0.308 0.163
0.692 0.308 0.837
0.700 0.300 0.500
0.800 0.800 0.000
0.808 0.808 0.337
0.808 0.808 0.663
```


# 3
Starting from a PBE+U-relaxed structure, the powder diffractogram of Cr5Te3O18 was simulated for Cu Kα.

Largest 6 diffraction maxima, by angle, 2θ = 10–90°:
2θ (°), I (rel.)
20.3, 35
21.2, 100
30.6, 35
35.5, 22
36.0, 28
49.5, 23

Cell and atoms:
```
Cr5Te3O18
1.0
7.244 -4.296 0.000
7.244 4.296 0.000
-1.217 0.000 10.385
Cr Te O
10 6 36
Direct
0.000 0.000 0.000
0.143 0.167 0.526
0.311 0.005 0.786
0.350 0.339 0.717
0.524 0.166 0.978
0.658 0.342 0.500
0.661 0.650 0.283
0.833 0.857 0.474
0.834 0.476 0.022
0.995 0.689 0.214
0.151 0.517 0.955
0.181 0.490 0.453
0.483 0.849 0.045
0.510 0.819 0.547
0.831 0.168 0.255
0.832 0.169 0.745
0.052 0.075 0.176
0.058 0.456 0.103
0.061 0.728 0.549
0.074 0.107 0.684
0.078 0.746 0.055
0.123 0.398 0.607
0.219 0.256 0.388
0.230 0.578 0.311
0.241 0.563 0.804
0.254 0.922 0.945
0.272 0.939 0.451
0.278 0.257 0.866
0.382 0.087 0.635
0.388 0.404 0.044
0.407 0.417 0.559
0.422 0.770 0.689
0.437 0.759 0.196
0.441 0.082 0.115
0.544 0.942 0.897
0.580 0.233 0.809
0.583 0.593 0.441
0.596 0.612 0.956
0.602 0.877 0.393
0.604 0.267 0.323
0.733 0.396 0.677
0.743 0.722 0.134
0.744 0.781 0.612
0.751 0.103 0.073
0.760 0.092 0.573
0.767 0.420 0.191
0.893 0.926 0.316
0.897 0.249 0.927
0.908 0.240 0.427
0.913 0.618 0.365
0.918 0.559 0.885
0.925 0.948 0.824
```


# 4
Starting from a PBE+U-relaxed structure, the powder diffractogram of Cr2Te4O11 was simulated for Cu Kα.

Largest 6 diffraction maxima, by angle, 2θ = 10–90°:
2θ (°), I (rel.)
23.4, 100
23.8, 57
24.7, 76
27.9, 68
28.5, 45
38.6, 35

Cell and atoms:
```
Cr2Te4O11
1.0
7.122 0.000 0.000
0.000 7.740 0.000
-1.638 0.000 9.793
Cr Te O
4 8 22
Direct
0.182 0.001 0.115
0.182 0.499 0.615
0.818 0.501 0.385
0.818 0.999 0.885
0.172 0.640 0.914
0.172 0.860 0.414
0.356 0.145 0.825
0.356 0.355 0.325
0.644 0.645 0.675
0.644 0.855 0.175
0.828 0.140 0.586
0.828 0.360 0.086
0.000 0.000 0.500
0.000 0.500 0.000
0.030 0.631 0.737
0.030 0.869 0.237
0.063 0.640 0.450
0.063 0.860 0.950
0.296 0.117 0.291
0.296 0.383 0.791
0.342 0.149 0.014
0.342 0.351 0.514
0.375 0.688 0.655
0.375 0.812 0.155
0.625 0.188 0.845
0.625 0.312 0.345
0.658 0.649 0.486
0.658 0.851 0.986
0.704 0.617 0.209
0.704 0.883 0.709
0.937 0.140 0.050
0.937 0.360 0.550
0.970 0.131 0.763
0.970 0.369 0.263
```


# 5
Starting from a PBE+U-relaxed structure, the powder diffractogram of V3Cr3Te2O16 was simulated for Cu Kα.

Largest 6 diffraction maxima, by angle, 2θ = 10–90°:
2θ (°), I (rel.)
19.6, 100
19.8, 67
19.9, 33
35.6, 28
35.8, 27
36.3, 26

Cell and atoms:
```
V3Cr3Te2O16
1.0
5.112 -2.960 0.000
5.112 2.960 0.000
-0.172 0.000 9.429
V Cr Te O
3 3 2 16
Direct
0.000 0.000 0.000
0.353 0.823 0.497
0.823 0.353 0.497
0.004 0.516 0.987
0.343 0.343 0.483
0.516 0.004 0.987
0.505 0.505 0.771
0.837 0.837 0.267
0.000 0.512 0.375
0.001 0.001 0.379
0.134 0.697 0.120
0.170 0.170 0.073
0.172 0.172 0.567
0.216 0.654 0.614
0.340 0.340 0.874
0.342 0.833 0.877
0.511 0.511 0.378
0.512 0.000 0.375
0.654 0.216 0.614
0.654 0.654 0.624
0.695 0.695 0.111
0.697 0.134 0.120
0.833 0.342 0.877
0.849 0.849 0.883
```


# 6
Starting from a PBE+U-relaxed structure, the powder diffractogram of V3Cr3Te2O16 was simulated for Cu Kα.

Largest 6 diffraction maxima, by angle, 2θ = 10–90°:
2θ (°), I (rel.)
19.4, 100
19.6, 96
19.7, 95
35.5, 38
35.9, 42
36.0, 39

Cell and atoms:
```
V3Cr3Te2O16
1.0
5.984 0.000 0.000
-2.980 5.223 0.000
-0.144 -0.128 9.245
V Cr Te O
3 3 2 16
Direct
0.000 0.000 0.000
0.010 0.493 0.998
0.837 0.659 0.507
0.349 0.171 0.491
0.349 0.661 0.491
0.517 0.003 0.988
0.502 0.493 0.773
0.837 0.160 0.275
0.130 0.298 0.133
0.167 0.825 0.582
0.175 0.844 0.079
0.223 0.354 0.622
0.344 0.175 0.876
0.348 0.658 0.878
0.517 0.998 0.379
0.532 0.506 0.392
0.656 0.784 0.630
0.659 0.354 0.631
0.695 0.302 0.128
0.700 0.873 0.125
0.824 0.654 0.881
0.855 0.158 0.891
0.998 0.999 0.382
0.999 0.480 0.382
```


# 7
Starting from a PBE+U-relaxed structure, the powder diffractogram of Ti2CrO5 was simulated for Cu Kα.

Largest 6 diffraction maxima, by angle, 2θ = 10–90°:
2θ (°), I (rel.)
27.0, 59
30.6, 53
32.5, 100
35.6, 50
52.2, 43
55.9, 37

Cell and atoms:
```
Ti2CrO5
1.0
5.155 -2.600 0.000
5.155 2.600 0.000
-2.325 0.000 6.674
Ti Cr O
4 2 10
Direct
0.117 0.151 0.220
0.151 0.117 0.720
0.849 0.883 0.280
0.883 0.849 0.780
0.500 0.500 0.000
0.500 0.500 0.500
0.062 0.771 0.057
0.108 0.483 0.330
0.229 0.938 0.443
0.292 0.708 0.750
0.483 0.108 0.830
0.517 0.892 0.170
0.708 0.292 0.250
0.771 0.062 0.557
0.892 0.517 0.670
0.938 0.229 0.943
```


# 8
Starting from a PBE+U-relaxed structure, the powder diffractogram of TiCrO4 was simulated for Cu Kα.

Largest 6 diffraction maxima, by angle, 2θ = 10–90°:
2θ (°), I (rel.)
25.5, 100
36.8, 21
48.6, 27
52.8, 20
55.7, 18
62.5, 14

Cell and atoms:
```
TiCrO4
1.0
-1.873 1.873 4.888
1.873 -1.873 4.888
1.873 1.873 -4.888
Ti Cr O
1 1 4
Direct
0.000 0.000 0.000
0.250 0.750 0.500
0.048 0.548 0.500
0.211 0.211 0.000
0.452 0.952 0.500
0.789 0.789 0.000
```